This entry pairs a crystal structure of VCu2S5 with its calculated powder XRD pattern. Radiation: Cu Kα (weighted mean of Kα1 and Kα2). Structure: DFT lattice parameters and positions (PBE).

Most intense lines, 2θ from 10° to 80°, by angle:
- (0 0 1), d 5.949, I 100
- (0 1 0), d 5.601, I 24
- (1 -1 1), d 3.335, I 19
- (-1 1 1), d 3.320, I 19
- (1 1 1), d 3.080, I 13
- (1 1 -2), d 2.538, I 8
- (0 2 1), d 2.444, I 12
- (2 -2 0), d 2.007, I 12
- (2 2 0), d 1.954, I 7
- (2 0 2), d 1.949, I 11
- (0 2 2), d 1.944, I 11
- (2 2 -1), d 1.936, I 9

Structural model:
```
VCu2S5
1.0
5.624 0.000 0.000
-0.097 5.632 0.000
-0.550 -0.603 5.949
V Cu S
1 2 5
direct
0.000 0.000 0.000
0.019 0.484 0.045
0.485 0.017 0.044
0.234 0.800 0.227
0.238 0.236 0.833
0.696 0.694 0.882
0.799 0.236 0.226
0.853 0.854 0.638
```